Starting from a structure optimized by DFT (PBE), the powder X-ray diffraction pattern of Tm4CrSe7 was calculated for Cu Kα (λ = 1.5418 Å).
Kinematic intensities with the Lorentz-polarization factor, no thermal factor.

Atomic structure:
Unit cell a=6.760 b=6.760 c=11.869 alpha=104.73 beta=104.73 gamma=33.72
Sites, in units of the cell vectors:
Tm 0.000 0.000 0.000
Tm 0.388 0.388 0.597
Tm 0.581 0.581 0.358
Tm 0.696 0.696 0.801
Cr 0.809 0.809 0.219
Se 0.035 0.035 0.744
Se 0.201 0.201 0.289
Se 0.358 0.358 0.845
Se 0.424 0.424 0.147
Se 0.662 0.662 0.023
Se 0.730 0.730 0.579
Se 0.948 0.948 0.430

Principal peaks in the range 2θ = 15–90°, sorted by position:
2θ (°), intensity
23.74, 97
23.90, 70
30.89, 70
31.34, 100
32.42, 92
33.74, 89
35.70, 45
41.23, 63
46.30, 65
46.69, 45